(1)
Starting from the PBE geometry in Alexandria, the X-ray diffraction stick pattern of Pm7SnN2 was simulated for CuKα.

Atomic structure:
Unit cell a=12.1133 b=12.1133 c=12.1133 alpha=24.94 beta=24.94 gamma=24.94
Fractional positions:
Pm (0.0000, 0.0000, 0.0000)
Pm (0.1329, 0.1329, 0.1329)
Pm (0.3025, 0.3025, 0.3025)
Pm (0.4060, 0.4060, 0.4060)
Pm (0.5940, 0.5940, 0.5940)
Pm (0.6975, 0.6975, 0.6975)
Pm (0.8671, 0.8671, 0.8671)
Sn (0.5000, 0.5000, 0.5000)
N (0.0698, 0.0698, 0.0698)
N (0.9302, 0.9302, 0.9302)

Peak list (8 most intense, 2θ from 10° to 90°, in order of falling intensity)
2θ 34.29, 2.615 Å, I = 100
2θ 26.48, 3.365 Å, I = 43
2θ 32.21, 2.779 Å, I = 30
2θ 61.41, 1.510 Å, I = 27
2θ 43.84, 2.065 Å, I = 11
2θ 72.26, 1.308 Å, I = 11
2θ 56.80, 1.621 Å, I = 11
2θ 60.09, 1.540 Å, I = 10


(2)
Starting from the PBE geometry in Alexandria, the X-ray diffraction stick pattern of ThPa4 was simulated for CuKα.

Atomic structure:
Unit cell a=10.1944 b=10.1944 c=6.0923 alpha=90.00 beta=90.00 gamma=90.00
Fractional positions:
Th (0.2239, 0.2761, 0.0000)
Th (0.2761, 0.7761, 0.0000)
Th (0.7239, 0.2239, 0.0000)
Th (0.7761, 0.7239, 0.0000)
Pa (0.0000, 0.0000, 0.2237)
Pa (0.0000, 0.0000, 0.7763)
Pa (0.0992, 0.5992, 0.5000)
Pa (0.1055, 0.2083, 0.5000)
Pa (0.2083, 0.8945, 0.5000)
Pa (0.2917, 0.3945, 0.5000)
Pa (0.3945, 0.7083, 0.5000)
Pa (0.4008, 0.0992, 0.5000)
Pa (0.5000, 0.5000, 0.2237)
Pa (0.5000, 0.5000, 0.7763)
Pa (0.5992, 0.9008, 0.5000)
Pa (0.6055, 0.2917, 0.5000)
Pa (0.7083, 0.6055, 0.5000)
Pa (0.7917, 0.1055, 0.5000)
Pa (0.8945, 0.7917, 0.5000)
Pa (0.9008, 0.4008, 0.5000)

Peak list (8 most intense, 2θ from 10° to 90°, in order of falling intensity)
2θ 31.65, 2.827 Å, I = 100
2θ 14.54, 6.092 Å, I = 98
2θ 34.99, 2.565 Å, I = 89
2θ 43.68, 2.072 Å, I = 84
2θ 34.29, 2.615 Å, I = 71
2θ 29.32, 3.046 Å, I = 52
2θ 38.28, 2.351 Å, I = 51
2θ 28.78, 3.102 Å, I = 44


(3)
Starting from the PBE geometry in Alexandria, the X-ray diffraction stick pattern of Pr2Mg2Sn3 was simulated for CuKα.

Atomic structure:
Unit cell a=8.6226 b=8.6226 c=12.9607 alpha=125.31 beta=125.31 gamma=31.98
Fractional positions:
Pr (0.0894, 0.0894, 0.4332)
Pr (0.2337, 0.2337, 0.8313)
Pr (0.7663, 0.7663, 0.1687)
Pr (0.9106, 0.9106, 0.5668)
Mg (0.0956, 0.0956, 0.1668)
Mg (0.4497, 0.4497, 0.1789)
Mg (0.5503, 0.5503, 0.8211)
Mg (0.9044, 0.9044, 0.8332)
Sn (0.1283, 0.1283, 0.9724)
Sn (0.3285, 0.3285, 0.6655)
Sn (0.4062, 0.4062, 0.3717)
Sn (0.5938, 0.5938, 0.6283)
Sn (0.6715, 0.6715, 0.3345)
Sn (0.8717, 0.8717, 0.0276)

Peak list (8 most intense, 2θ from 10° to 90°, in order of falling intensity)
2θ 32.43, 2.761 Å, I = 100
2θ 33.48, 2.677 Å, I = 72
2θ 28.29, 3.155 Å, I = 62
2θ 28.91, 3.089 Å, I = 59
2θ 37.87, 2.376 Å, I = 58
2θ 33.09, 2.708 Å, I = 40
2θ 23.21, 3.832 Å, I = 36
2θ 44.20, 2.049 Å, I = 36


Copy entry 2 word for word.
Starting from the PBE geometry in Alexandria, the X-ray diffraction stick pattern of ThPa4 was simulated for CuKα.

Atomic structure:
Unit cell a=10.1944 b=10.1944 c=6.0923 alpha=90.00 beta=90.00 gamma=90.00
Fractional positions:
Th (0.2239, 0.2761, 0.0000)
Th (0.2761, 0.7761, 0.0000)
Th (0.7239, 0.2239, 0.0000)
Th (0.7761, 0.7239, 0.0000)
Pa (0.0000, 0.0000, 0.2237)
Pa (0.0000, 0.0000, 0.7763)
Pa (0.0992, 0.5992, 0.5000)
Pa (0.1055, 0.2083, 0.5000)
Pa (0.2083, 0.8945, 0.5000)
Pa (0.2917, 0.3945, 0.5000)
Pa (0.3945, 0.7083, 0.5000)
Pa (0.4008, 0.0992, 0.5000)
Pa (0.5000, 0.5000, 0.2237)
Pa (0.5000, 0.5000, 0.7763)
Pa (0.5992, 0.9008, 0.5000)
Pa (0.6055, 0.2917, 0.5000)
Pa (0.7083, 0.6055, 0.5000)
Pa (0.7917, 0.1055, 0.5000)
Pa (0.8945, 0.7917, 0.5000)
Pa (0.9008, 0.4008, 0.5000)

Peak list (8 most intense, 2θ from 10° to 90°, in order of falling intensity)
2θ 31.65, 2.827 Å, I = 100
2θ 14.54, 6.092 Å, I = 98
2θ 34.99, 2.565 Å, I = 89
2θ 43.68, 2.072 Å, I = 84
2θ 34.29, 2.615 Å, I = 71
2θ 29.32, 3.046 Å, I = 52
2θ 38.28, 2.351 Å, I = 51
2θ 28.78, 3.102 Å, I = 44